This entry pairs a crystal structure of BaSrCo2F8 with its simulated powder diffractogram. Radiation: a wavelength of 1.5418 Å. Structure: DFT lattice parameters and positions (GGA+U).

Principal peaks in the range 2θ = 10–80°, sorted by position:
2θ 11.27, I = 27
2θ 16.81, I = 86
2θ 20.28, I = 67
2θ 28.33, I = 96
2θ 29.33, I = 100
2θ 31.51, I = 22
2θ 37.37, I = 31
2θ 41.24, I = 66
2θ 49.53, I = 21
2θ 51.41, I = 43
2θ 52.02, I = 19
2θ 60.85, I = 22

Structure:
Unit cell a=6.0897 b=6.0897 c=7.8547 alpha=90.00 beta=90.00 gamma=120.00
Space group P-3m1 (No. 164)
Asymmetric unit:
Ba (0.0000, 0.0000, 0.0000) [1 per cell]
Sr (0.0000, 0.0000, 0.5000) [1 per cell]
Co (0.3333, 0.6667, 0.2003) [2 per cell]
F (0.1587, 0.3174, 0.2775) [6 per cell]
F (0.3333, 0.6667, 0.9594) [2 per cell]